Record 1
Computed powder diffractogram of Hf6Co2Os for copper Kα, from a DFT-relaxed cell (PBE, Alexandria).
Kinematic intensities with the Lorentz-polarization factor, no thermal factor.

Most intense lines, 2θ from 10° to 80°, in order of rising 2θ:
2θ/deg	I/Imax
31.57	18.6
32.81	20.6
32.98	35.5
35.66	100.0
38.05	39.2
38.70	63.3
39.10	50.4
40.06	15.9
42.08	33.6
45.49	16.0
63.08	14.2
66.82	30.2

Atomic structure:
Lattice parameters (Å, degrees): 7.5616 7.5616 7.5616 110.79 110.73 106.92
Fractional positions:
Hf1 0.0464 0.2387 0.8077
Hf2 0.1826 0.2886 0.4712
Hf3 0.1826 0.7114 0.8940
Hf4 0.3293 0.0331 0.7038
Hf5 0.3293 0.6255 0.2962
Hf6 0.4310 0.2387 0.1923
Hf7 0.5690 0.7613 0.8077
Hf8 0.6707 0.3745 0.7038
Hf9 0.6707 0.9669 0.2962
Hf10 0.8174 0.2886 0.1060
Hf11 0.8174 0.7114 0.5288
Hf12 0.9536 0.7613 0.1923
Co1 0.1351 0.6351 0.5000
Co2 0.3481 0.0000 0.3481
Co3 0.6519 0.0000 0.6519
Co4 0.8649 0.3649 0.5000
Os1 0.0000 0.0000 0.0000
Os2 0.5000 0.5000 0.0000

---

Record 2
Computed powder diffractogram of Nd2AuS for copper Kα, from a DFT-relaxed cell (PBE, Alexandria).
Kinematic intensities with the Lorentz-polarization factor, no thermal factor.

Most intense lines, 2θ from 10° to 80°, in order of rising 2θ:
2θ/deg	I/Imax
29.08	38.2
30.23	59.1
30.69	100.0
30.85	28.9
32.55	48.7
36.00	51.3
40.71	67.6
42.27	35.4
44.90	29.8
52.84	24.8
55.42	32.5
63.36	23.9

Atomic structure:
Lattice parameters (Å, degrees): 4.0373 23.6544 4.2763 90.00 90.00 90.00
Fractional positions:
Nd1 0.0000 0.0716 0.2500
Nd2 0.0000 0.3109 0.2500
Nd3 0.0000 0.6891 0.7500
Nd4 0.0000 0.9284 0.7500
Nd5 0.5000 0.1891 0.7500
Nd6 0.5000 0.4284 0.7500
Nd7 0.5000 0.5716 0.2500
Nd8 0.5000 0.8109 0.2500
Au1 0.0000 0.4559 0.2500
Au2 0.0000 0.5441 0.7500
Au3 0.5000 0.0441 0.7500
Au4 0.5000 0.9559 0.2500
S1 0.0000 0.1913 0.2500
S2 0.0000 0.8087 0.7500
S3 0.5000 0.3087 0.7500
S4 0.5000 0.6913 0.2500

---

Record 3
Computed powder diffractogram of Pr7Tl4Cd for copper Kα, from a DFT-relaxed cell (PBE, Alexandria).
Kinematic intensities with the Lorentz-polarization factor, no thermal factor.

Most intense lines, 2θ from 10° to 80°, in order of rising 2θ:
2θ/deg	I/Imax
25.45	10.9
29.89	44.2
30.40	28.0
30.59	100.0
30.99	47.0
31.20	13.9
32.07	9.8
33.15	11.5
39.57	20.1
43.32	33.4
44.29	10.7
54.67	9.5

Atomic structure:
Lattice parameters (Å, degrees): 9.0702 9.0702 9.1471 119.83 119.83 37.55
Fractional positions:
Pr1 0.0000 0.0000 0.0000
Pr2 0.2139 0.2139 0.8222
Pr3 0.3347 0.3347 0.5981
Pr4 0.4320 0.4320 0.2634
Pr5 0.5680 0.5680 0.7366
Pr6 0.6653 0.6653 0.4019
Pr7 0.7861 0.7861 0.1778
Tl1 0.0588 0.0588 0.4080
Tl2 0.2128 0.2128 0.1820
Tl3 0.7872 0.7872 0.8180
Tl4 0.9412 0.9412 0.5920
Cd1 0.5000 0.5000 0.0000

---

Record 4
Computed powder diffractogram of Tb19Ho4Sc6 for copper Kα, from a DFT-relaxed cell (PBE, Alexandria).
Kinematic intensities with the Lorentz-polarization factor, no thermal factor.

Most intense lines, 2θ from 10° to 80°, in order of rising 2θ:
2θ/deg	I/Imax
10.19	11.8
27.17	17.5
29.09	36.7
30.90	100.0
34.25	14.9
35.83	17.3
37.34	32.4
41.61	14.2
42.95	14.5
52.71	15.3
54.95	23.2
61.34	19.3

Atomic structure:
Lattice parameters (Å, degrees): 10.6339 10.6339 10.6339 109.47 109.47 109.47
Fractional positions:
Tb1 0.0000 0.0000 0.0000
Tb2 0.0000 0.2648 0.2648
Tb3 0.0000 0.7352 0.7352
Tb4 0.0085 0.7841 0.3404
Tb5 0.2159 0.2243 0.5563
Tb6 0.2243 0.5563 0.2159
Tb7 0.2648 0.0000 0.2648
Tb8 0.2648 0.2648 0.0000
Tb9 0.3320 0.7757 0.9915
Tb10 0.3404 0.0085 0.7841
Tb11 0.4437 0.6680 0.6596
Tb12 0.5563 0.2159 0.2243
Tb13 0.6596 0.4437 0.6680
Tb14 0.6680 0.6596 0.4437
Tb15 0.7352 0.0000 0.7352
Tb16 0.7352 0.7352 0.0000
Tb17 0.7757 0.9915 0.3320
Tb18 0.7841 0.3404 0.0085
Tb19 0.9915 0.3320 0.7757
Ho1 0.0000 0.0000 0.6416
Ho2 0.0000 0.6416 0.0000
Ho3 0.3584 0.3584 0.3584
Ho4 0.6416 0.0000 0.0000
Sc1 0.1162 0.6162 0.5000
Sc2 0.3838 0.5000 0.8838
Sc3 0.5000 0.1162 0.6162
Sc4 0.5000 0.8838 0.3838
Sc5 0.6162 0.5000 0.1162
Sc6 0.8838 0.3838 0.5000

---

Record 5
Computed powder diffractogram of CeInH6Ru for copper Kα, from a DFT-relaxed cell (PBE, Alexandria).
Kinematic intensities with the Lorentz-polarization factor, no thermal factor.

Most intense lines, 2θ from 10° to 80°, in order of rising 2θ:
2θ/deg	I/Imax
19.23	4.7
21.80	1.1
29.23	100.0
38.25	49.9
39.04	15.3
43.15	3.6
48.85	24.3
55.80	33.3
63.68	21.3
64.78	10.2
69.14	8.5
77.79	5.9

Atomic structure:
Lattice parameters (Å, degrees): 4.7066 4.7066 4.6147 90.00 90.00 120.00
Fractional positions:
Ce1 0.0000 0.0000 0.0000
In1 0.3333 0.6667 0.5000
H1 0.5258 0.0516 0.2084
H2 0.5258 0.0516 0.7916
H3 0.5258 0.4742 0.2084
H4 0.5258 0.4742 0.7916
H5 0.9484 0.4742 0.2084
H6 0.9484 0.4742 0.7916
Ru1 0.6667 0.3333 0.5000